Diffraction record for GdSnSO. The powder XRD pattern is calculated, not measured: it uses a cell relaxed with PBE and Cu Kα, 1.54184 Å.
Intensities are scaled so that the largest is 100.

Principal peaks in the range 10° ≤ 2θ ≤ 90°, sorted by position:
d = 3.986 Å, 22.30 deg, I 49; d = 3.470 Å, 25.67 deg, I 65; d = 3.077 Å, 29.02 deg, I 100; d = 3.040 Å, 29.38 deg, I 74; d = 2.831 Å, 31.61 deg, I 50; d = 2.663 Å, 33.66 deg, I 51; d = 2.639 Å, 33.97 deg, I 41; d = 2.136 Å, 42.32 deg, I 40

Cell and atoms:
```
GdSnSO
1.0
6.301 0.000 0.000
0.000 15.944 0.000
0.000 0.000 7.052
Gd Sn S O
8 8 8 8
Direct
0.151 0.203 0.111
0.151 0.297 0.611
0.349 0.703 0.111
0.349 0.797 0.611
0.651 0.203 0.389
0.651 0.297 0.889
0.849 0.703 0.389
0.849 0.797 0.889
0.170 0.529 0.665
0.170 0.971 0.165
0.330 0.029 0.665
0.330 0.471 0.165
0.670 0.529 0.835
0.670 0.971 0.335
0.830 0.029 0.835
0.830 0.471 0.335
0.005 0.589 0.121
0.005 0.911 0.621
0.495 0.089 0.121
0.495 0.411 0.621
0.505 0.589 0.379
0.505 0.911 0.879
0.995 0.089 0.379
0.995 0.411 0.879
0.176 0.745 0.848
0.176 0.755 0.348
0.324 0.245 0.848
0.324 0.255 0.348
0.676 0.745 0.652
0.676 0.755 0.152
0.824 0.245 0.652
0.824 0.255 0.152
```